# 1
Diffraction record for Ti3VZn2. The powder XRD pattern is calculated, not measured: it uses a crystal structure in Alexandria, relaxed with PBE and a wavelength of 1.5418 Å.
Neutral-atom scattering factors, no anomalous dispersion.

Structural model:
Cell lengths 3.1113, 3.1113, 9.6466 Å; angles 90.00, 90.00, 90.00 degrees
Atoms (fractional coordinates):
1 Ti 0.0000 0.0000 0.0000
2 Ti 0.0000 0.0000 0.3440
3 Ti 0.0000 0.0000 0.6560
4 V 0.5000 0.5000 0.5000
5 Zn 0.5000 0.5000 0.1711
6 Zn 0.5000 0.5000 0.8289

Most intense lines, 15° ≤ 2θ ≤ 90°, in order of rising 2θ:
2θ (°)  I/Imax
28.69  2.9
34.30  2.2
40.34  100.0
41.03  48.2
57.30  7.9
59.41  14.8
72.87  14.5
74.27  28.5
87.19  8.8
88.99  4.4

***

# 2
Diffraction record for CaAc2Pr3. The powder XRD pattern is calculated, not measured: it uses a crystal structure in Alexandria, relaxed with PBE and a wavelength of 1.5418 Å.
Neutral-atom scattering factors, no anomalous dispersion.

Structural model:
Cell lengths 3.7865, 10.7317, 11.9932 Å; angles 91.98, 96.93, 94.61 degrees
Atoms (fractional coordinates):
1 Ca 0.1245 0.2472 0.3580
2 Ca 0.8755 0.7528 0.6420
3 Ac 0.2071 0.5998 0.3828
4 Ac 0.2685 0.0859 0.6485
5 Ac 0.7315 0.9141 0.3515
6 Ac 0.7929 0.4002 0.6172
7 Pr 0.1224 0.7346 0.1010
8 Pr 0.3239 0.0844 0.1042
9 Pr 0.4306 0.5674 0.8624
10 Pr 0.5694 0.4326 0.1376
11 Pr 0.6761 0.9156 0.8958
12 Pr 0.8776 0.2654 0.8990

Most intense lines, 15° ≤ 2θ ≤ 90°, in order of rising 2θ:
2θ (°)  I/Imax
27.40  40.4
27.89  24.2
28.29  33.4
28.63  72.7
29.81  56.5
30.10  100.0
30.29  50.8
39.74  17.1
45.90  18.8
54.91  15.6

***

# 3
Diffraction record for K2Se. The powder XRD pattern is calculated, not measured: it uses a crystal structure in Alexandria, relaxed with PBE and a wavelength of 1.5418 Å.
Neutral-atom scattering factors, no anomalous dispersion.

Structural model:
Cell lengths 5.4675, 5.4675, 5.4675 Å; angles 60.00, 60.00, 60.00 degrees
Atoms (fractional coordinates):
1 K 0.2500 0.2500 0.2500
2 K 0.7500 0.7500 0.7500
3 Se 0.0000 0.0000 0.0000

Most intense lines, 15° ≤ 2θ ≤ 90°, in order of rising 2θ:
2θ (°)  I/Imax
19.89  58.0
32.76  100.0
38.62  30.8
47.01  16.9
51.52  13.2
58.48  33.7
62.41  9.8
68.67  10.1
72.29  9.5
78.18  13.8